[1]
Simulated powder diffractogram of Mn2CdF6 for Cu Kα (λ = 1.5418 Å), from the GGA+U geometry in Alexandria.

Largest 12 diffraction maxima, low angle first, 5 to 70 degrees two-theta:
hkl  two_theta  I/Imax
0 1 1  17.87  15
1 0 1  20.53  100
1 1 2  30.45  77
0 2 0  30.77  15
0 1 3  32.10  28
1 2 1  37.25  46
2 2 0  48.88  24
2 1 3  49.80  41
1 0 5  51.49  13
1 3 2  54.51  17
0 3 3  55.55  21
1 2 5  61.19  12

a b c (Å): 4.8555 5.8123 9.5340
angles (deg): 90.00 90.00 90.00
Space group Pnnm (No. 58)
Symmetry-distinct sites (fractional):
Mn  0.0000  0.0000  0.1824 x4
Cd  0.0000  0.5000  0.0000 x2
F  0.1996  0.1553  0.0000 x4
F  0.2364  0.6778  0.1764 x8



[2]
Simulated powder diffractogram of NaMn2CdF6 for Cu Kα (λ = 1.5418 Å), from the GGA+U geometry in Alexandria.

Largest 12 diffraction maxima, low angle first, 5 to 70 degrees two-theta:
hkl  two_theta  I/Imax
0 0 3  18.24  17
1 0 1  18.55  53
1 0 4  30.20  100
1 1 0  30.58  81
0 1 5  35.51  15
1 1 3  35.84  37
0 2 1  36.00  14
0 2 4  43.51  69
0 1 8  53.40  18
3 -1 4  54.12  43
3 0 0  54.35  33
2 0 8  62.80  16

a b c (Å): 5.8469 5.8469 14.5882
angles (deg): 90.00 90.00 120.00
Space group R3 (No. 146, hexagonal axes)
Symmetry-distinct sites (fractional):
Na  0.0000  0.0000  0.0000 x3
Mn  0.0000  0.0000  0.2223 x3
Mn  0.0000  0.0000  0.7159 x3
Cd  0.0000  0.0000  0.4807 x3
F  0.0627  0.7175  0.2938 x9
F  0.0930  0.3490  0.7924 x9



[3]
Simulated powder diffractogram of MnCdNiF6 for Cu Kα (λ = 1.5418 Å), from the GGA+U geometry in Alexandria.

Largest 12 diffraction maxima, low angle first, 5 to 70 degrees two-theta:
hkl  two_theta  I/Imax
1 0 0  18.88  8
1 0 2  26.59  100
1 1 0  33.02  29
0 0 4  37.60  3
2 -1 2  38.13  12
1 0 4  42.40  3
2 0 2  42.88  26
1 1 4  50.89  42
2 1 2  55.16  24
3 0 0  58.97  18
1 0 6  61.39  8
2 2 0  69.26  3

a b c (Å): 5.4262 5.4262 9.5696
angles (deg): 90.00 90.00 120.00
Space group P-31c (No. 163)
Symmetry-distinct sites (fractional):
Mn  0.3333  0.6667  0.2500 x2
Cd  0.0000  0.0000  0.0000 x2
Ni  0.3333  0.6667  0.7500 x2
F  0.0152  0.3553  0.6348 x12



[4]
Simulated powder diffractogram of Cd4MoF12 for Cu Kα (λ = 1.5418 Å), from the GGA+U geometry in Alexandria.

Largest 12 diffraction maxima, low angle first, 5 to 70 degrees two-theta:
hkl  two_theta  I/Imax
1 1 0  14.37  33
1 0 1  15.00  39
2 0 0  20.37  92
0 0 2  22.13  25
2 2 0  28.96  51
2 0 2  30.26  100
2 2 2  36.75  18
4 0 0  41.42  38
4 2 0  46.58  20
2 0 4  50.00  18
4 2 2  52.15  55
2 2 4  54.53  35

a b c (Å): 8.7191 8.7191 8.0333
angles (deg): 90.00 90.00 90.00
Space group I4/mmm (No. 139)
Symmetry-distinct sites (fractional):
Cd  0.2500  0.2500  0.2500 x8
Mo  0.0000  0.0000  0.0000 x2
F  0.0000  0.2001  0.1532 x16
F  0.1915  0.1915  0.5000 x8